The following is a calculated powder diffractogram of LiNp4S7. It was derived from a structure optimized by DFT (GGA-PBE), using λ = 1.5418 Å (Cu Kα).
No peak broadening, texture or thermal motion is included.

Most intense lines, 10 to 90 degrees two-theta, sorted by position:
d_spacing, Position (°2θ), I (rel.)
3.601, 24.73, 95
3.564, 24.98, 64
3.548, 25.10, 100
3.160, 28.24, 72
2.589, 34.65, 76
2.104, 42.98, 58

Atomic structure:
```
LiNp4S7
1.0
6.283 -1.925 0.000
6.283 1.925 0.000
-2.971 0.000 10.865
Li Np S
1 4 7
Cartesian
0.000 0.000 0.000 Li
0.146 0.000 4.559 Np
0.435 0.000 9.360 Np
3.396 0.000 6.669 Np
9.441 0.000 2.281 Np
-0.947 0.000 7.005 S
1.258 0.000 2.204 S
4.604 0.000 0.838 S
4.574 0.000 4.029 S
5.163 0.000 10.316 S
8.253 0.000 5.137 S
8.443 0.000 8.447 S
```

The following is a calculated powder diffractogram of Li3Np3SnS8. It was derived from a structure optimized by DFT (GGA-PBE), using λ = 1.5418 Å (Cu Kα).
No peak broadening, texture or thermal motion is included.

Most intense lines, 10 to 90 degrees two-theta, sorted by position:
d_spacing, Position (°2θ), I (rel.)
6.038, 14.67, 100
3.390, 26.29, 76
2.745, 32.62, 84
2.499, 35.94, 33
1.993, 45.52, 33
1.893, 48.07, 60

Atomic structure:
```
Li3Np3SnS8
1.0
3.985 2.301 6.038
-3.985 2.301 6.038
0.000 -4.602 6.038
Li Np Sn S
3 3 1 8
Cartesian
-1.993 -1.150 6.038 Li
-1.993 1.150 12.077 Li
0.000 2.301 6.038 Li
-3.985 0.000 9.057 Np
-1.993 1.150 3.019 Np
1.993 1.150 3.019 Np
0.000 0.000 9.057 Sn
-2.039 -1.177 10.522 S
0.000 -2.354 7.592 S
-2.039 1.177 7.592 S
0.000 0.000 4.539 S
0.000 0.000 13.576 S
2.039 -1.177 10.522 S
0.000 2.354 10.522 S
2.039 1.177 7.592 S
```

The following is a calculated powder diffractogram of Li3TbNp3S8. It was derived from a structure optimized by DFT (GGA-PBE), using λ = 1.5418 Å (Cu Kα).
No peak broadening, texture or thermal motion is included.

Most intense lines, 10 to 90 degrees two-theta, sorted by position:
d_spacing, Position (°2θ), I (rel.)
6.113, 14.49, 100
3.368, 26.46, 73
3.210, 27.80, 32
2.745, 32.63, 80
2.504, 35.87, 33
1.978, 45.87, 31

Atomic structure:
```
Li3TbNp3S8
1.0
3.956 2.284 6.113
-3.956 2.284 6.113
0.000 -4.569 6.113
Li Tb Np S
3 1 3 8
Cartesian
-1.978 -1.142 6.113 Li
-1.978 1.142 12.225 Li
0.000 2.284 6.113 Li
0.000 0.000 9.169 Tb
-3.956 0.000 9.169 Np
-1.978 1.142 3.056 Np
1.978 1.142 3.056 Np
-1.981 -1.144 10.666 S
0.000 0.000 4.575 S
0.000 -2.288 7.672 S
-1.982 1.144 7.672 S
1.982 -1.144 10.666 S
0.000 2.288 10.666 S
0.000 0.000 13.763 S
1.981 1.144 7.671 S
```

The following is a calculated powder diffractogram of Li3Np3TeS8. It was derived from a structure optimized by DFT (GGA-PBE), using λ = 1.5418 Å (Cu Kα).
No peak broadening, texture or thermal motion is included.

Most intense lines, 10 to 90 degrees two-theta, sorted by position:
d_spacing, Position (°2θ), I (rel.)
6.128, 14.45, 100
3.361, 26.52, 73
3.204, 27.84, 31
2.743, 32.64, 82
2.504, 35.87, 34
1.974, 45.98, 31

Atomic structure:
```
Li3Np3TeS8
1.0
3.948 2.279 6.128
-3.948 2.279 6.128
0.000 -4.558 6.128
Li Np Te S
3 3 1 8
Cartesian
-1.974 -1.140 6.128 Li
-1.974 1.140 12.257 Li
0.000 2.279 6.128 Li
-3.948 0.000 9.192 Np
-1.974 1.140 3.064 Np
1.974 1.140 3.064 Np
0.000 0.000 9.192 Te
0.000 0.000 4.590 S
0.000 -2.222 7.672 S
-1.925 1.111 7.672 S
-1.925 -1.111 10.712 S
1.925 1.111 7.672 S
1.925 -1.111 10.712 S
0.000 2.222 10.712 S
0.000 0.000 13.795 S
```